[1]
Starting from a structure optimized by DFT (PBE), the X-ray powder pattern of Pr2Dy6Al was computed for CuKα.

Structural model:
```
Pr2Dy6Al
1.0
-1.7634 5.1085 7.8341
1.7634 -5.1085 7.8341
1.7634 5.1085 -7.8341
Pr Dy Al
2 6 1
Direct
0.1448 0.1448 0.0000 Pr
0.8552 0.8552 0.0000 Pr
0.1643 0.8225 0.3418 Dy
0.2279 0.5000 0.7279 Dy
0.4807 0.8225 0.6582 Dy
0.5193 0.1775 0.3418 Dy
0.7721 0.5000 0.2721 Dy
0.8357 0.1775 0.6582 Dy
0.5000 0.0000 0.5000 Al
```

Peak list (12 most intense, 2θ from 10° to 80°, sorted by position)
two_theta  I (rel.)
28.72  18
30.59  100
31.35  93
34.34  34
35.37  16
36.68  46
51.12  26
51.56  12
51.85  13
53.05  13
59.18  13
61.87  24


[2]
Starting from a structure optimized by DFT (PBE), the X-ray powder pattern of ZrCoSi2Rh was computed for CuKα.

Structural model:
```
ZrCoSi2Rh
1.0
-1.9215 1.9215 4.9381
1.9215 -1.9215 4.9381
1.9215 1.9215 -4.9381
Zr Co Si Rh
1 1 2 1
Direct
0.0000 0.0000 0.0000 Zr
0.7500 0.2500 0.5000 Co
0.3818 0.3818 0.0000 Si
0.6182 0.6182 0.0000 Si
0.2500 0.7500 0.5000 Rh
```

Peak list (12 most intense, 2θ from 10° to 80°, sorted by position)
two_theta  I (rel.)
17.96  12
24.86  19
35.92  30
36.39  17
37.79  100
47.31  37
49.91  11
52.06  12
60.80  12
61.11  14
66.40  15
69.14  11


[3]
Starting from a structure optimized by DFT (PBE), the X-ray powder pattern of AlSb3Se2ClO8 was computed for CuKα.

Structural model:
```
AlSb3Se2ClO8
1.0
7.8712 0.0000 0.0000
0.0000 9.3268 0.0000
0.0000 0.0000 7.0372
Al Sb Se Cl O
2 6 4 2 16
Direct
0.0000 0.0000 0.0000 Al
0.5000 0.5000 0.3284 Al
0.0000 0.0000 0.4940 Sb
0.2297 0.2348 0.6749 Sb
0.2297 0.7652 0.6749 Sb
0.5000 0.5000 0.7495 Sb
0.7703 0.2348 0.6749 Sb
0.7703 0.7652 0.6749 Sb
0.0000 0.3163 0.2272 Se
0.0000 0.6837 0.2272 Se
0.5000 0.1871 0.1106 Se
0.5000 0.8129 0.1106 Se
0.0000 0.5000 0.7614 Cl
0.5000 0.0000 0.5783 Cl
0.0000 0.1229 0.2066 O
0.0000 0.1500 0.8311 O
0.0000 0.8500 0.8311 O
0.0000 0.8771 0.2066 O
0.1722 0.3344 0.3726 O
0.1722 0.6656 0.3726 O
0.3254 0.1642 0.9648 O
0.3254 0.8358 0.9648 O
0.5000 0.3628 0.5192 O
0.5000 0.3732 0.1298 O
0.5000 0.6268 0.1298 O
0.5000 0.6372 0.5192 O
0.6746 0.1642 0.9648 O
0.6746 0.8358 0.9648 O
0.8278 0.3344 0.3726 O
0.8278 0.6656 0.3726 O
```

Peak list (12 most intense, 2θ from 10° to 80°, sorted by position)
two_theta  I (rel.)
12.58  32
19.03  22
25.31  27
25.94  43
29.70  36
31.86  25
32.37  100
33.89  21
35.55  18
40.77  19
44.99  20
46.13  20


[4]
Starting from a structure optimized by DFT (PBE), the X-ray powder pattern of H2S was computed for CuKα.

Structural model:
```
H2S
1.0
4.6779 0.0000 0.0000
0.0000 4.8482 0.0000
0.0000 0.0000 4.3532
H S
4 2
Direct
0.1520 0.1418 0.0000 H
0.3480 0.6418 0.5000 H
0.6520 0.3582 0.5000 H
0.8480 0.8582 0.0000 H
0.0000 0.0000 0.7862 S
0.5000 0.5000 0.2862 S
```

Peak list (12 most intense, 2θ from 10° to 80°, sorted by position)
two_theta  I (rel.)
26.48  100
27.54  86
28.00  82
37.09  16
38.49  14
41.49  10
47.10  31
47.98  29
49.89  25
54.52  10
56.85  9
70.76  9


[5]
Starting from a structure optimized by DFT (PBE), the X-ray powder pattern of Tm12ScCo7 was computed for CuKα.

Structural model:
```
Tm12ScCo7
1.0
6.9779 4.0287 2.7380
-6.9779 4.0287 2.7380
0.0000 -8.0574 2.7380
Tm Sc Co
12 1 7
Direct
0.1046 0.6573 0.2551 Tm
0.1183 0.3290 0.4119 Tm
0.2551 0.1046 0.6573 Tm
0.3290 0.4119 0.1183 Tm
0.3427 0.7449 0.8954 Tm
0.4119 0.1183 0.3290 Tm
0.5881 0.8817 0.6710 Tm
0.6573 0.2551 0.1046 Tm
0.6710 0.5881 0.8817 Tm
0.7449 0.8954 0.3427 Tm
0.8817 0.6710 0.5881 Tm
0.8954 0.3427 0.7449 Tm
0.0000 0.0000 0.0000 Sc
0.0355 0.9388 0.2740 Co
0.0612 0.7260 0.9645 Co
0.2740 0.0355 0.9388 Co
0.5000 0.5000 0.5000 Co
0.7260 0.9645 0.0612 Co
0.9388 0.2740 0.0355 Co
0.9645 0.0612 0.7260 Co
```

Peak list (12 most intense, 2θ from 10° to 80°, sorted by position)
two_theta  I (rel.)
28.77  100
31.55  15
32.71  28
33.99  20
34.13  20
34.54  100
41.94  16
46.95  43
47.89  16
52.24  14
58.39  23
59.58  17


[6]
Starting from a structure optimized by DFT (PBE), the X-ray powder pattern of CaTm4PuS8 was computed for CuKα.

Structural model:
```
CaTm4PuS8
1.0
4.0081 2.3141 6.6283
-4.0081 2.3141 6.6283
0.0000 -4.6282 6.6283
Ca Tm Pu S
1 4 1 8
Direct
0.0000 0.0000 0.0000 Ca
0.1183 0.6265 0.6265 Tm
0.2490 0.2490 0.2490 Tm
0.6265 0.1183 0.6265 Tm
0.6265 0.6265 0.1183 Tm
0.6249 0.6249 0.6249 Pu
0.3754 0.3754 0.8544 S
0.3754 0.8544 0.3754 S
0.3821 0.3821 0.3821 S
0.4075 0.8691 0.8691 S
0.8544 0.3754 0.3754 S
0.8636 0.8636 0.8636 S
0.8691 0.4075 0.8691 S
0.8691 0.8691 0.4075 S
```

Peak list (12 most intense, 2θ from 10° to 80°, sorted by position)
two_theta  I (rel.)
13.51  44
22.18  15
25.82  39
26.00  100
27.21  26
31.43  49
41.22  27
41.32  23
44.85  41
45.25  41
62.91  19
65.61  13


[7]
Starting from a structure optimized by DFT (PBE), the X-ray powder pattern of Sc3HgN was computed for CuKα.

Structural model:
```
Sc3HgN
1.0
3.1588 -6.3507 0.0000
3.1588 6.3507 0.0000
0.0000 0.0000 4.4512
Sc Hg N
6 2 2
Direct
0.0000 0.5000 0.5000 Sc
0.1338 0.8662 0.0000 Sc
0.2404 0.2404 0.5000 Sc
0.5000 0.0000 0.5000 Sc
0.7596 0.7596 0.5000 Sc
0.8662 0.1338 0.0000 Sc
0.3744 0.6256 0.0000 Hg
0.6256 0.3744 0.0000 Hg
0.1298 0.8702 0.5000 N
0.8702 0.1298 0.5000 N
```

Peak list (12 most intense, 2θ from 10° to 80°, sorted by position)
two_theta  I (rel.)
15.67  58
19.95  35
25.46  65
32.44  30
34.70  100
34.83  99
40.27  77
40.53  38
58.46  62
69.55  25
69.78  25
70.03  25


[8]
Starting from a structure optimized by DFT (PBE), the X-ray powder pattern of MgInTc was computed for CuKα.

Structural model:
```
MgInTc
1.0
-1.6934 1.6934 4.7348
1.6934 -1.6934 4.7348
1.6934 1.6934 -4.7348
Mg In Tc
1 1 1
Direct
0.0000 0.0000 0.0000 Mg
0.3080 0.3080 0.0000 In
0.6512 0.6512 0.0000 Tc
```

Peak list (12 most intense, 2θ from 10° to 80°, sorted by position)
two_theta  I (rel.)
18.74  25
27.98  27
37.56  57
39.01  100
42.29  13
54.16  19
55.60  8
57.83  5
58.48  7
62.05  5
68.74  36
71.61  15


What did the fifth record say?
Starting from a structure optimized by DFT (PBE), the X-ray powder pattern of Tm12ScCo7 was computed for CuKα.

Structural model:
```
Tm12ScCo7
1.0
6.9779 4.0287 2.7380
-6.9779 4.0287 2.7380
0.0000 -8.0574 2.7380
Tm Sc Co
12 1 7
Direct
0.1046 0.6573 0.2551 Tm
0.1183 0.3290 0.4119 Tm
0.2551 0.1046 0.6573 Tm
0.3290 0.4119 0.1183 Tm
0.3427 0.7449 0.8954 Tm
0.4119 0.1183 0.3290 Tm
0.5881 0.8817 0.6710 Tm
0.6573 0.2551 0.1046 Tm
0.6710 0.5881 0.8817 Tm
0.7449 0.8954 0.3427 Tm
0.8817 0.6710 0.5881 Tm
0.8954 0.3427 0.7449 Tm
0.0000 0.0000 0.0000 Sc
0.0355 0.9388 0.2740 Co
0.0612 0.7260 0.9645 Co
0.2740 0.0355 0.9388 Co
0.5000 0.5000 0.5000 Co
0.7260 0.9645 0.0612 Co
0.9388 0.2740 0.0355 Co
0.9645 0.0612 0.7260 Co
```

Peak list (12 most intense, 2θ from 10° to 80°, sorted by position)
two_theta  I (rel.)
28.77  100
31.55  15
32.71  28
33.99  20
34.13  20
34.54  100
41.94  16
46.95  43
47.89  16
52.24  14
58.39  23
59.58  17


Repeat the fourth record exactly.
Starting from a structure optimized by DFT (PBE), the X-ray powder pattern of H2S was computed for CuKα.

Structural model:
```
H2S
1.0
4.6779 0.0000 0.0000
0.0000 4.8482 0.0000
0.0000 0.0000 4.3532
H S
4 2
Direct
0.1520 0.1418 0.0000 H
0.3480 0.6418 0.5000 H
0.6520 0.3582 0.5000 H
0.8480 0.8582 0.0000 H
0.0000 0.0000 0.7862 S
0.5000 0.5000 0.2862 S
```

Peak list (12 most intense, 2θ from 10° to 80°, sorted by position)
two_theta  I (rel.)
26.48  100
27.54  86
28.00  82
37.09  16
38.49  14
41.49  10
47.10  31
47.98  29
49.89  25
54.52  10
56.85  9
70.76  9